[1]
# PuSBr
Theoretical powder diffraction line list, Cu Kα X-rays. Input: a cell relaxed with PBE.
Peak positions follow from Bragg's law for the DFT cell and can differ from measured ones.

Most intense lines, 2θ = 5–70°, most intense first:
Position (°2θ)  d [Å]  Rel. int.
28.87  3.092  100.0
19.23  4.616  75.8
9.59  9.221  75.1
44.89  2.019  39.1
40.19  2.244  33.6
33.62  2.665  31.1
52.48  1.744  24.6
56.02  1.642  14.8
47.90  1.899  14.6
25.54  3.488  12.8

Cell and atoms:
```
PuSBr
1.0
4.168 0.000 0.000
0.000 5.332 0.000
0.000 0.000 9.221
Pu S Br
2 2 2
direct
0.250 0.250 0.129
0.750 0.750 0.871
0.250 0.750 0.067
0.750 0.250 0.933
0.250 0.750 0.655
0.750 0.250 0.345
```



[2]
# UGeTe2S
Theoretical powder diffraction line list, Cu Kα X-rays. Input: a cell relaxed with PBE.
Peak positions follow from Bragg's law for the DFT cell and can differ from measured ones.

Most intense lines, 2θ = 5–70°, most intense first:
Position (°2θ)  d [Å]  Rel. int.
29.76  3.002  100.0
27.88  3.200  78.5
38.83  2.319  49.8
42.59  2.123  48.2
6.05  14.612  37.9
51.67  1.769  29.2
24.37  3.653  27.5
49.66  1.836  21.3
48.60  1.873  21.0
42.81  2.113  19.1

Cell and atoms:
```
UGeTe2S
1.0
4.246 0.000 0.000
0.000 4.246 0.000
0.000 0.000 14.612
U Ge Te S
2 2 4 2
direct
0.250 0.250 0.117
0.750 0.750 0.883
0.250 0.250 0.591
0.750 0.750 0.409
0.250 0.250 0.392
0.250 0.250 0.796
0.750 0.750 0.204
0.750 0.750 0.608
0.250 0.750 0.000
0.750 0.250 0.000
```



[3]
# Rb2PtS2
Theoretical powder diffraction line list, Cu Kα X-rays. Input: a cell relaxed with PBE.
Peak positions follow from Bragg's law for the DFT cell and can differ from measured ones.

Most intense lines, 2θ = 5–70°, most intense first:
Position (°2θ)  d [Å]  Rel. int.
28.24  3.160  100.0
37.63  2.391  84.8
14.98  5.915  67.2
35.15  2.553  53.4
24.35  3.655  50.0
58.35  1.581  41.2
24.96  3.568  32.0
16.77  5.288  29.7
46.35  1.959  21.3
39.18  2.299  19.1

Cell and atoms:
```
Rb2PtS2
1.0
7.136 0.000 0.000
0.000 10.575 0.000
0.000 0.000 3.655
Rb Pt S
4 2 4
direct
0.073 0.170 0.000
0.427 0.670 0.000
0.573 0.330 0.000
0.927 0.830 0.000
0.000 0.500 0.000
0.500 0.000 0.000
0.193 0.435 0.500
0.307 0.935 0.500
0.693 0.065 0.500
0.807 0.565 0.500
```



[4]
# Tb5Pr2Ho2
Theoretical powder diffraction line list, Cu Kα X-rays. Input: a cell relaxed with PBE.
Peak positions follow from Bragg's law for the DFT cell and can differ from measured ones.

Most intense lines, 2θ = 5–70°, most intense first:
Position (°2θ)  d [Å]  Rel. int.
30.03  2.975  100.0
28.32  3.151  84.5
30.46  2.934  77.6
35.59  2.522  59.6
30.85  2.898  59.2
32.79  2.731  59.0
32.94  2.719  46.7
37.69  2.387  36.2
39.46  2.284  26.2
58.59  1.576  24.6

Cell and atoms:
```
Tb5Pr2Ho2
1.0
-7.471 5.951 3.373
7.471 -5.951 3.373
7.471 5.951 -3.373
Tb Pr Ho
10 4 4
direct
0.247 0.052 0.299
0.247 0.448 0.694
0.439 0.447 0.492
0.456 0.047 0.123
0.456 0.832 0.909
0.753 0.552 0.306
0.753 0.948 0.701
0.924 0.332 0.877
0.924 0.547 0.091
0.955 0.947 0.508
0.813 0.313 0.500
0.813 0.813 0.000
0.890 0.147 0.243
0.904 0.647 0.757
0.351 0.226 0.873
0.351 0.979 0.626
0.353 0.479 0.127
0.353 0.726 0.374
```